For NaVMo2O8, the GGA+U geometry in Alexandria gives the simulated PXRD pattern in this record (Cu Kα (λ = 1.5418 Å)).
Neutral-atom scattering factors, no anomalous dispersion.

Atomic structure:
Lattice parameters (Å, degrees): 5.779 5.779 6.460 90.00 90.00 120.00
Fractional positions:
1 Na 0.000 0.000 0.000
2 V 0.000 0.000 0.500
3 Mo 0.333 0.667 0.228
4 Mo 0.667 0.333 0.772
5 O 0.160 0.321 0.314
6 O 0.160 0.840 0.314
7 O 0.321 0.160 0.686
8 O 0.333 0.667 0.958
9 O 0.667 0.333 0.042
10 O 0.679 0.840 0.314
11 O 0.840 0.160 0.686
12 O 0.840 0.679 0.686

Largest 12 diffraction maxima, in order of rising 2θ, 2θ from 10° to 80°:
Position (°2θ)  Rel. int.  h k l
22.47  100.0  1 0 1
27.62  6.2  0 0 2
30.95  41.6  1 1 0
33.00  18.6  0 1 2
45.87  28.1  2 0 2
50.26  21.5  2 1 1
55.04  7.5  3 0 0
56.36  13.2  2 0 3
64.49  8.8  2 2 0
65.70  8.0  2 1 3
66.30  7.4  1 1 4
69.23  10.5  1 3 1